Structure and calculated powder diffractogram of LaTh4C4 (DFT lattice parameters and positions (GGA-PBE); Cu Kα, 1.54184 Å).
Peak positions follow from Bragg's law for the DFT cell and can differ from measured ones.

Atomic structure:
```
9
Lattice="-4.2491 4.2491 2.6566 4.2491 -4.2491 2.6566 4.2491 4.2491 -2.6566" Properties=species:S:1:pos:R:3 pbc="T T T"
La 0.0000 0.0000 0.0000
Th 3.3586 1.6120 0.0000
Th 2.6370 -0.8905 2.6566
Th 1.6120 5.1396 0.0000
Th 0.8905 2.6370 2.6566
C 5.8371 0.7785 0.0000
C 0.7785 2.6610 0.0000
C 3.4706 1.5880 2.6566
C -1.5880 3.4706 2.6566
```

Peak list (10 most intense, 15 to 90 degrees two-theta, in order of rising 2θ)
28.9°, rel. 100; 33.3°, rel. 40; 33.7°, rel. 20; 47.9°, rel. 15; 48.2°, rel. 29; 56.9°, rel. 30; 57.4°, rel. 16; 59.8°, rel. 15; 77.9°, rel. 12; 89.5°, rel. 10


Structure and calculated powder diffractogram of La3YC8 (DFT lattice parameters and positions (GGA-PBE); Cu Kα, 1.54184 Å).
Peak positions follow from Bragg's law for the DFT cell and can differ from measured ones.

Atomic structure:
```
12
Lattice="0.0000 5.2286 3.9170 5.2225 0.0000 3.9170 5.2225 5.2286 0.0000" Properties=species:S:1:pos:R:3 pbc="T T T"
La 0.0000 0.0000 0.0000
La 2.6112 2.6143 1.9534
La 7.8337 7.8429 5.8703
Y 5.2225 5.2286 3.9181
C 5.2225 2.4903 2.9579
C 5.2225 3.5603 2.2320
C 7.9608 5.2286 4.8821
C 5.2225 6.8969 2.2320
C 6.8899 5.2286 5.6071
C 5.2225 7.9670 2.9579
C 3.5550 5.2286 5.6071
C 2.4842 5.2286 4.8821
```

Peak list (10 most intense, 15 to 90 degrees two-theta, in order of rising 2θ)
24.1°, rel. 59; 28.5°, rel. 100; 34.3°, rel. 38; 45.2°, rel. 63; 49.3°, rel. 12; 52.9°, rel. 20; 55.6°, rel. 14; 57.9°, rel. 12; 69.1°, rel. 16; 75.2°, rel. 14


Structure and calculated powder diffractogram of LaYC3 (DFT lattice parameters and positions (GGA-PBE); Cu Kα, 1.54184 Å).
Peak positions follow from Bragg's law for the DFT cell and can differ from measured ones.

Atomic structure:
```
20
Lattice="-4.2731 4.2731 4.2731 4.2731 -4.2731 4.2731 4.2731 4.2731 -4.2731" Properties=species:S:1:pos:R:3 pbc="T T T"
La 4.7306 -0.4575 0.4575
La 0.4575 4.7306 -0.4575
La -0.4575 0.4575 4.7306
La 3.8156 3.8156 3.8156
Y 2.5659 1.7072 -1.7072
Y 1.7072 -1.7072 2.5659
Y 1.7072 1.7072 1.7072
Y -1.7072 2.5659 1.7072
C 4.2731 -2.1365 2.6343
C 4.2731 -2.1365 3.9690
C 2.6343 4.2731 -2.1365
C 3.9690 4.2731 -2.1365
C 4.2731 2.1365 0.3041
C 4.2731 2.1365 1.6387
C 2.1365 0.3041 4.2731
C 2.1365 1.6387 4.2731
C 0.3041 4.2731 2.1365
C 1.6387 4.2731 2.1365
C -2.1365 2.6343 4.2731
C -2.1365 3.9690 4.2731
```

Peak list (10 most intense, 15 to 90 degrees two-theta, in order of rising 2θ)
25.5°, rel. 41; 29.6°, rel. 83; 33.1°, rel. 100; 39.5°, rel. 57; 50.1°, rel. 25; 52.5°, rel. 15; 54.8°, rel. 63; 59.2°, rel. 25; 71.6°, rel. 18; 83.0°, rel. 18


Structure and calculated powder diffractogram of LiC2 (DFT lattice parameters and positions (GGA-PBE); Cu Kα, 1.54184 Å).
Peak positions follow from Bragg's law for the DFT cell and can differ from measured ones.

Atomic structure:
```
6
Lattice="3.7284 -1.2488 0.0000 3.7284 1.2488 0.0000 -1.0683 0.0000 5.7659" Properties=species:S:1:pos:R:3 pbc="T T T"
Li 1.1040 0.0000 0.7842
Li 5.2844 0.0000 4.9816
C -0.0727 0.0000 4.2721
C 2.9700 0.0000 2.1650
C 3.4184 0.0000 3.6008
C 6.4611 0.0000 1.4937
```

Peak list (10 most intense, 15 to 90 degrees two-theta, in order of rising 2θ)
15.4°, rel. 32; 24.3°, rel. 36; 26.3°, rel. 100; 31.0°, rel. 20; 40.4°, rel. 8; 42.2°, rel. 8; 43.3°, rel. 11; 49.4°, rel. 22; 52.4°, rel. 10; 64.2°, rel. 8


Structure and calculated powder diffractogram of Li5C (DFT lattice parameters and positions (GGA-PBE); Cu Kα, 1.54184 Å).
Peak positions follow from Bragg's law for the DFT cell and can differ from measured ones.

Atomic structure:
```
6
Lattice="4.8244 -1.3727 0.0000 4.8244 1.3727 0.0000 -2.9748 0.0000 6.5211" Properties=species:S:1:pos:R:3 pbc="T T T"
Li 0.0000 0.0000 0.0000
Li 2.5965 0.0000 1.6278
Li 1.8826 0.0000 3.9498
Li 4.7914 0.0000 2.5712
Li 4.0775 0.0000 4.8932
C -1.4874 0.0000 3.2605
```

Peak list (10 most intense, 15 to 90 degrees two-theta, in order of rising 2θ)
19.1°, rel. 66; 20.2°, rel. 100; 26.4°, rel. 26; 38.8°, rel. 28; 40.8°, rel. 57; 41.4°, rel. 87; 45.3°, rel. 97; 46.0°, rel. 19; 51.2°, rel. 33; 62.4°, rel. 28


Structure and calculated powder diffractogram of Li3C2 (DFT lattice parameters and positions (GGA-PBE); Cu Kα, 1.54184 Å).
Peak positions follow from Bragg's law for the DFT cell and can differ from measured ones.

Atomic structure:
```
10
Lattice="0.0000 8.1650 1.2845 4.5125 0.0000 1.2845 4.5125 8.1650 0.0000" Properties=species:S:1:pos:R:3 pbc="T T T"
Li 0.0000 0.0000 0.0000
Li 5.2207 5.8578 0.8184
Li 2.2562 4.0825 0.6422
Li 6.0605 9.9403 1.4606
Li 3.8043 10.4722 0.8184
Li 2.9645 6.3897 1.4606
C 4.7237 3.7876 0.7496
C 6.5575 7.8701 1.3919
C 4.3013 12.5424 0.7496
C 2.4675 8.4599 1.3919
```

Peak list (10 most intense, 15 to 90 degrees two-theta, in order of rising 2θ)
21.8°, rel. 49; 22.5°, rel. 100; 40.0°, rel. 10; 44.4°, rel. 13; 46.0°, rel. 21; 46.1°, rel. 9; 46.8°, rel. 16; 52.7°, rel. 5; 54.1°, rel. 10; 70.9°, rel. 5


Structure and calculated powder diffractogram of Li3C2 (DFT lattice parameters and positions (GGA-PBE); Cu Kα, 1.54184 Å).
Peak positions follow from Bragg's law for the DFT cell and can differ from measured ones.

Atomic structure:
```
10
Lattice="2.5736 0.0000 0.0000 0.0000 4.4194 0.0000 -0.2664 0.0000 8.9596" Properties=species:S:1:pos:R:3 pbc="T T T"
Li 0.5152 0.0000 1.0014
Li 0.5118 1.1149 4.1341
Li 0.5122 4.3664 6.8505
Li 1.7950 2.1567 2.1091
Li 1.7955 3.3246 4.8255
Li 1.7920 2.2097 7.9582
C 0.5102 3.6111 3.0146
C 0.5101 2.0551 6.2062
C 1.7971 4.2648 2.7534
C 1.7970 1.4014 5.9451
```

Peak list (10 most intense, 15 to 90 degrees two-theta, in order of rising 2θ)
19.8°, rel. 51; 22.4°, rel. 100; 28.4°, rel. 24; 29.9°, rel. 14; 42.1°, rel. 10; 45.4°, rel. 22; 45.8°, rel. 16; 55.3°, rel. 8; 56.0°, rel. 7; 58.4°, rel. 8


Structure and calculated powder diffractogram of Li3C2 (DFT lattice parameters and positions (GGA-PBE); Cu Kα, 1.54184 Å).
Peak positions follow from Bragg's law for the DFT cell and can differ from measured ones.

Atomic structure:
```
10
Lattice="0.0000 11.7241 1.2904 4.0221 0.0000 1.2904 4.0221 11.7241 0.0000" Properties=species:S:1:pos:R:3 pbc="T T T"
Li 0.0000 0.0000 0.0000
Li 6.0775 9.8108 1.2865
Li 2.0111 5.8621 0.6452
Li 4.0665 7.7754 1.9317
Li 1.9667 13.6375 1.2865
Li 3.9778 15.6728 1.9317
C 5.8362 11.9692 1.2891
C 7.8472 17.3412 1.9343
C 2.2081 11.4791 1.2891
C 4.2191 17.8312 1.9343
```

Peak list (10 most intense, 15 to 90 degrees two-theta, in order of rising 2θ)
15.1°, rel. 100; 23.4°, rel. 57; 30.5°, rel. 9; 44.7°, rel. 3; 45.1°, rel. 8; 46.5°, rel. 7; 47.8°, rel. 3; 51.1°, rel. 5; 61.2°, rel. 3; 66.8°, rel. 5


Structure and calculated powder diffractogram of Li2LuPCO7 (DFT lattice parameters and positions (GGA-PBE); Cu Kα, 1.54184 Å).
Peak positions follow from Bragg's law for the DFT cell and can differ from measured ones.

Atomic structure:
```
24
Lattice="4.7827 0.0000 0.0000 0.0000 6.6628 0.0000 -0.8360 0.0000 9.2535" Properties=species:S:1:pos:R:3 pbc="T T T"
Li 0.7153 0.0197 2.9559
Li 0.7153 3.3116 2.9559
Li 3.2314 3.3511 6.2976
Li 3.2314 6.6430 6.2976
Lu 0.4684 1.6657 8.0403
Lu 3.4783 4.9971 1.2133
P 0.5239 4.9971 8.3180
P 3.4228 1.6657 0.9356
C 0.7906 1.6657 5.3077
C 3.1561 4.9971 3.9458
O -0.4165 1.6657 5.8085
O 0.0050 3.7373 7.5946
O 0.0050 6.2569 7.5946
O 0.9351 4.9971 0.5756
O 1.0222 1.6657 4.0554
O 1.8669 1.6657 0.8970
O 1.7622 1.6657 6.2014
O 2.1845 4.9971 3.0521
O 2.0798 4.9971 8.3565
O 2.9245 4.9971 5.1981
O 3.0116 1.6657 8.6779
O 3.9417 0.4059 1.6589
O 3.9417 2.9255 1.6589
O 4.3632 4.9971 3.4450
```

Peak list (10 most intense, 15 to 90 degrees two-theta, in order of rising 2θ)
16.4°, rel. 100; 20.2°, rel. 52; 21.7°, rel. 43; 23.0°, rel. 79; 23.4°, rel. 28; 25.6°, rel. 67; 26.8°, rel. 81; 28.1°, rel. 38; 28.5°, rel. 27; 39.2°, rel. 24


Structure and calculated powder diffractogram of LiMg14C (DFT lattice parameters and positions (GGA-PBE); Cu Kα, 1.54184 Å).
Peak positions follow from Bragg's law for the DFT cell and can differ from measured ones.

Atomic structure:
```
16
Lattice="8.9951 0.0000 0.0000 0.0000 3.8203 5.0758 0.0000 -3.8203 5.0758" Properties=species:S:1:pos:R:3 pbc="T T T"
Li 0.0000 0.0000 0.0000
Mg 0.0000 -1.5196 2.6462
Mg 0.0000 1.5196 2.6462
Mg 1.6543 -1.4249 5.0988
Mg 1.6543 1.4249 5.0988
Mg 2.0052 0.0000 7.9904
Mg 2.4814 0.0000 1.9367
Mg 4.4976 0.0000 4.2870
Mg 4.4976 -1.5382 6.9971
Mg 4.4976 1.5382 6.9971
Mg 4.4976 0.0000 9.7721
Mg 6.5137 0.0000 1.9367
Mg 6.9899 0.0000 7.9904
Mg 7.3408 -1.4249 5.0988
Mg 7.3408 1.4249 5.0988
C 0.0000 0.0000 4.3335
```

Peak list (10 most intense, 15 to 90 degrees two-theta, in order of rising 2θ)
33.3°, rel. 13; 34.7°, rel. 14; 35.2°, rel. 30; 35.4°, rel. 18; 35.5°, rel. 100; 36.4°, rel. 14; 36.8°, rel. 15; 37.8°, rel. 12; 40.1°, rel. 15; 58.1°, rel. 15


Structure and calculated powder diffractogram of LiMg6CO8 (DFT lattice parameters and positions (GGA-PBE); Cu Kα, 1.54184 Å).
Peak positions follow from Bragg's law for the DFT cell and can differ from measured ones.

Atomic structure:
```
16
Lattice="4.2400 0.0000 0.0000 0.0000 4.2400 0.0000 0.0000 0.0000 8.2257" Properties=species:S:1:pos:R:3 pbc="T T T"
Li 0.0000 0.0000 0.0000
Mg 0.0000 2.1200 2.0547
Mg 0.0000 2.1200 6.1710
Mg 2.1200 0.0000 2.0547
Mg 2.1200 0.0000 6.1710
Mg 2.1200 2.1200 0.0000
Mg 2.1200 2.1200 4.1129
C 0.0000 0.0000 4.1129
O 0.0000 0.0000 2.4642
O 0.0000 0.0000 5.7615
O 0.0000 2.1200 0.0000
O 0.0000 2.1200 4.1129
O 2.1200 0.0000 0.0000
O 2.1200 0.0000 4.1129
O 2.1200 2.1200 2.0722
O 2.1200 2.1200 6.1536
```

Peak list (10 most intense, 15 to 90 degrees two-theta, in order of rising 2θ)
21.0°, rel. 9; 30.3°, rel. 5; 37.1°, rel. 7; 42.6°, rel. 100; 44.0°, rel. 39; 49.3°, rel. 5; 61.9°, rel. 27; 63.0°, rel. 45; 74.4°, rel. 4; 79.0°, rel. 21